This entry pairs a crystal structure of Na3AsP2 with its theoretical X-ray powder pattern. Radiation: Cu Kα X-rays. Structure: the GGA-PBE geometry in Alexandria.
Intensities are scaled so that the largest is 100.

Cell and atoms:
```
data_Na3AsP2
_space_group_name_H-M_alt 'P 1 21/c 1'
_space_group_IT_number 14
_space_group_name_Hall '-P 2ybc'
_cell_length_a 7.616
_cell_length_b 9.571
_cell_length_c 9.760
_cell_angle_alpha 90.00
_cell_angle_beta 119.48
_cell_angle_gamma 90.00
loop_
_atom_site_label
_atom_site_fract_x
_atom_site_fract_y
_atom_site_fract_z
Na1 0.241 0.028 0.421
Na2 0.249 0.016 0.874
Na3 0.256 0.727 0.658
As1 0.239 0.235 0.131
P1 0.013 0.749 0.313
P2 0.444 0.047 0.229
```

Principal peaks in the range 10° ≤ 2θ ≤ 90°, in order of rising 2θ:
(1 1 0), d = 5.450 Å, intensity 77; (1 0 -2), d = 4.799 Å, intensity 58; (0 0 2), d = 4.248 Å, intensity 20; (0 1 2), d = 3.882 Å, intensity 87; (1 2 -2), d = 3.391 Å, intensity 61; (2 0 0), d = 3.315 Å, intensity 29; (0 3 2), d = 2.551 Å, intensity 24; (1 2 2), d = 2.526 Å, intensity 100; (2 0 -4), d = 2.405 Å, intensity 33; (0 4 0), d = 2.393 Å, intensity 54; (3 2 -2), d = 2.242 Å, intensity 69; (3 1 -4), d = 2.096 Å, intensity 15

This entry pairs a crystal structure of Ac2CePb4 with its theoretical X-ray powder pattern. Radiation: Cu Kα X-rays. Structure: the GGA-PBE geometry in Alexandria.
Intensities are scaled so that the largest is 100.

Cell and atoms:
```
data_Ac2CePb4
_space_group_name_H-M_alt 'P 1 21/m 1'
_space_group_IT_number 11
_space_group_name_Hall '-P 2yb'
_cell_length_a 6.473
_cell_length_b 6.780
_cell_length_c 11.350
_cell_angle_alpha 90.00
_cell_angle_beta 105.62
_cell_angle_gamma 90.00
loop_
_atom_site_label
_atom_site_fract_x
_atom_site_fract_y
_atom_site_fract_z
Ac1 0.130 0.250 0.412
Ac2 0.341 0.750 0.987
Ce1 0.017 0.250 0.801
Pb1 0.188 0.250 0.107
Pb2 0.328 0.750 0.465
Pb3 0.405 0.009 0.719
```

Principal peaks in the range 10° ≤ 2θ ≤ 90°, in order of rising 2θ:
(0 2 0), d = 3.390 Å, intensity 27; (1 1 2), d = 3.212 Å, intensity 56; (1 1 -3), d = 3.177 Å, intensity 24; (2 0 -2), d = 3.089 Å, intensity 22; (1 2 0), d = 2.976 Å, intensity 39; (0 2 2), d = 2.881 Å, intensity 69; (1 0 3), d = 2.832 Å, intensity 100; (2 1 -2), d = 2.810 Å, intensity 73; (1 0 -4), d = 2.795 Å, intensity 42; (1 2 1), d = 2.784 Å, intensity 29; (1 2 -2), d = 2.769 Å, intensity 47; (1 2 -6), d = 1.652 Å, intensity 22

This entry pairs a crystal structure of Pr3CuB2Pd9 with its theoretical X-ray powder pattern. Radiation: Cu Kα X-rays. Structure: the GGA-PBE geometry in Alexandria.
Intensities are scaled so that the largest is 100.

Cell and atoms:
```
data_Pr3CuB2Pd9
_space_group_name_H-M_alt 'P -3 m 1'
_space_group_IT_number 164
_space_group_name_Hall '-P 3 2"'
_cell_length_a 6.6377
_cell_length_b 6.6377
_cell_length_c 7.1111
_cell_angle_alpha 90.00
_cell_angle_beta 90.00
_cell_angle_gamma 120.00
loop_
_atom_site_label
_atom_site_fract_x
_atom_site_fract_y
_atom_site_fract_z
Pr1 0.0000 0.0000 0.0000
Pr2 0.3333 0.6667 0.6669
Cu1 0.0000 0.0000 0.5000
B1 0.3333 0.6667 0.1418
Pd1 0.0000 0.5000 0.0000
Pd2 0.1849 0.3698 0.3186
```

Principal peaks in the range 10° ≤ 2θ ≤ 90°, in order of rising 2θ:
(1 1 0), d = 3.319 Å, intensity 5; (0 1 2), d = 3.024 Å, intensity 5; (0 2 1), d = 2.665 Å, intensity 100; (0 0 3), d = 2.370 Å, intensity 24; (2 0 2), d = 2.235 Å, intensity 77; (2 2 0), d = 1.659 Å, intensity 28; (0 2 4), d = 1.512 Å, intensity 21; (4 0 1), d = 1.409 Å, intensity 12; (2 2 3), d = 1.359 Å, intensity 21; (0 4 2), d = 1.332 Å, intensity 12; (2 0 5), d = 1.275 Å, intensity 9; (4 0 4), d = 1.118 Å, intensity 7